Record 1
Diffraction record for Li3Ti3VO8. The powder diffraction line list is calculated, not measured: it uses a DFT-relaxed cell (GGA+U, the Materials Project) and Cu Ka.

```
Li3Ti3VO8
1.0
6.0516 0.0000 0.0000
0.0000 5.9678 0.0000
-0.1810 0.0000 8.4452
Li Ti V O
6 6 2 16
direct
0.0000 0.0000 0.0000
0.2500 0.2499 0.2501
0.2500 0.7501 0.2501
0.5000 0.5000 0.5000
0.7500 0.2499 0.7499
0.7500 0.7501 0.7499
0.0000 0.5000 0.5000
0.2497 0.2493 0.7493
0.2497 0.7507 0.7493
0.5000 0.0000 0.0000
0.7503 0.2493 0.2507
0.7503 0.7507 0.2507
0.0000 0.0000 0.5000
0.5000 0.5000 0.0000
0.0168 0.5000 0.7368
0.0176 0.0000 0.7514
0.2326 0.2663 0.5126
0.2326 0.7337 0.5126
0.2688 0.2342 0.9869
0.2688 0.7658 0.9869
0.4808 0.5000 0.7497
0.4832 0.0000 0.7631
0.5168 0.0000 0.2369
0.5192 0.5000 0.2503
0.7312 0.2342 0.0131
0.7312 0.7658 0.0131
0.7674 0.2663 0.4874
0.7674 0.7337 0.4874
0.9824 0.0000 0.2486
0.9832 0.5000 0.2632
```

The 12 most intense peaks (2θ from 15° to 90°), sorted by position:
2theta, intensity
17.9, 100
35.3, 24
35.5, 11
42.6, 51
42.8, 25
46.6, 11
55.9, 9
61.3, 7
61.4, 13
62.2, 7
62.5, 13
78.5, 9


Record 2
Diffraction record for Li2TiV3O8. The powder diffraction line list is calculated, not measured: it uses a DFT-relaxed cell (GGA+U, the Materials Project) and Cu Ka.

```
Li2TiV3O8
1.0
6.1153 -2.0237 0.0000
6.1153 2.0237 0.0000
-1.9985 0.0000 6.2721
Li Ti V O
2 1 3 8
direct
0.0000 0.0000 0.0000
0.1160 0.1160 0.7049
0.3548 0.3548 0.0744
0.4477 0.4477 0.6566
0.6693 0.6693 0.0521
0.7674 0.7674 0.6393
0.1816 0.1816 0.0361
0.2873 0.2873 0.6939
0.4119 0.4119 0.3498
0.4940 0.4940 0.9960
0.6212 0.6212 0.7281
0.7092 0.7092 0.3675
0.8329 0.8329 0.0113
0.9335 0.9335 0.6800
```

The 12 most intense peaks (2θ from 15° to 90°), sorted by position:
2theta, intensity
15.2, 61
23.3, 100
27.9, 19
28.5, 76
29.6, 23
32.0, 72
43.3, 48
44.4, 58
44.8, 63
53.9, 19
64.0, 23
64.9, 32


Record 3
Diffraction record for Li4Ti2V3O10. The powder diffraction line list is calculated, not measured: it uses a DFT-relaxed cell (GGA+U, the Materials Project) and Cu Ka.

```
Li4Ti2V3O10
1.0
6.7263 0.0000 0.0000
-0.1201 7.8442 0.0000
-3.2988 -0.8778 7.1775
Li Ti V O
8 4 6 20
direct
0.0957 0.2036 0.2784
0.1887 0.9059 0.0938
0.2499 0.2562 0.9901
0.3208 0.5855 0.9043
0.6792 0.4145 0.0957
0.7501 0.7438 0.0099
0.8113 0.0941 0.9062
0.9043 0.7964 0.7216
0.1657 0.5589 0.1872
0.3484 0.9604 0.8093
0.6516 0.0396 0.1907
0.8343 0.4411 0.8128
0.0000 0.5000 0.5000
0.0289 0.8480 0.4001
0.4604 0.6443 0.5966
0.5000 0.0000 0.5000
0.5396 0.3557 0.4034
0.9711 0.1520 0.5999
0.0274 0.6592 0.9621
0.0929 0.0205 0.8397
0.0925 0.3875 0.7384
0.1854 0.7235 0.6463
0.2346 0.0590 0.5594
0.2598 0.4345 0.4264
0.3050 0.7787 0.3521
0.3979 0.1174 0.2643
0.4047 0.4714 0.1558
0.4712 0.8463 0.0328
0.5288 0.1537 0.9672
0.5953 0.5286 0.8442
0.6021 0.8826 0.7357
0.6950 0.2213 0.6479
0.7402 0.5655 0.5736
0.7654 0.9410 0.4406
0.8146 0.2765 0.3537
0.9075 0.6125 0.2616
0.9071 0.9795 0.1603
0.9726 0.3408 0.0379
```

The 12 most intense peaks (2θ from 15° to 90°), sorted by position:
2theta, intensity
17.9, 39
18.2, 100
22.8, 29
26.6, 39
41.8, 75
42.5, 69
43.9, 67
60.7, 20
61.7, 17
62.2, 18
62.3, 36
63.2, 17


Record 4
Diffraction record for Li2Ti3VO8. The powder diffraction line list is calculated, not measured: it uses a DFT-relaxed cell (GGA+U, the Materials Project) and Cu Ka.

```
Li2Ti3VO8
1.0
5.2106 -2.9937 0.0000
5.2106 2.9937 0.0000
-3.4360 0.0000 9.7870
Li Ti V O
4 6 2 16
direct
0.1824 0.1824 0.0608
0.3176 0.3176 0.4392
0.6824 0.6824 0.5608
0.8176 0.8176 0.9392
0.0000 0.0000 0.5000
0.2500 0.7501 0.2501
0.2499 0.7500 0.7499
0.5000 0.5000 0.0000
0.7501 0.2500 0.2501
0.7500 0.2499 0.7499
0.2504 0.2504 0.7503
0.7496 0.7496 0.2497
0.1074 0.1074 0.3691
0.1103 0.1103 0.8557
0.1178 0.6615 0.3728
0.1610 0.6184 0.8729
0.3385 0.8822 0.6272
0.3816 0.8390 0.1271
0.3897 0.3897 0.6442
0.3927 0.3927 0.1310
0.6073 0.6073 0.8690
0.6103 0.6103 0.3558
0.6184 0.1610 0.8729
0.6615 0.1178 0.3728
0.8390 0.3816 0.1271
0.8822 0.3385 0.6272
0.8897 0.8897 0.1443
0.8926 0.8926 0.6309
```

The 12 most intense peaks (2θ from 15° to 90°), sorted by position:
2theta, intensity
18.1, 100
35.0, 19
35.1, 26
36.7, 4
42.6, 60
46.8, 5
56.3, 9
56.4, 12
61.7, 17
62.0, 18
65.2, 7
78.1, 7


Record 5
Diffraction record for Li2TiV3O8. The powder diffraction line list is calculated, not measured: it uses a DFT-relaxed cell (GGA+U, the Materials Project) and Cu Ka.

```
Li2TiV3O8
1.0
5.9876 0.0000 0.0000
2.9579 5.2245 0.0000
2.8539 1.7420 9.7285
Li Ti V O
4 2 6 16
direct
0.0628 0.0578 0.3105
0.4337 0.4408 0.1875
0.5663 0.5592 0.8125
0.9372 0.9422 0.6895
0.2480 0.2596 0.7500
0.7520 0.7404 0.2500
0.0000 0.0000 0.0000
0.0000 0.5000 0.0000
0.0000 0.5000 0.5000
0.5000 0.0000 0.0000
0.5000 0.0000 0.5000
0.5000 0.5000 0.5000
0.0847 0.6485 0.1262
0.1367 0.1295 0.1051
0.1481 0.1443 0.6222
0.1538 0.5927 0.6249
0.3643 0.3515 0.8808
0.3703 0.3852 0.3951
0.3750 0.9086 0.8799
0.4067 0.8512 0.3807
0.5933 0.1488 0.6193
0.6250 0.0914 0.1201
0.6297 0.6148 0.6049
0.6357 0.6485 0.1192
0.8462 0.4073 0.3751
0.8519 0.8557 0.3778
0.8633 0.8705 0.8949
0.9153 0.3515 0.8738
```

The 12 most intense peaks (2θ from 15° to 90°), sorted by position:
2theta, intensity
18.1, 100
18.2, 95
34.9, 24
35.0, 30
35.2, 21
35.4, 14
42.4, 39
42.6, 39
43.1, 37
61.4, 12
61.9, 23
62.0, 22


Record 6
Diffraction record for Li2TiV2O6. The powder diffraction line list is calculated, not measured: it uses a DFT-relaxed cell (GGA+U, the Materials Project) and Cu Ka.

```
Li2TiV2O6
1.0
2.9872 0.0000 0.0000
-0.0290 6.0675 0.0000
-1.4892 -1.5364 6.3236
Li Ti V O
2 1 2 6
direct
0.1621 0.3192 0.3248
0.8379 0.6808 0.6752
0.5000 0.5000 0.0000
0.1649 0.8466 0.3244
0.8351 0.1534 0.6756
0.0024 0.7157 0.0029
0.3234 0.9165 0.6428
0.3408 0.4012 0.6883
0.6592 0.5988 0.3117
0.6766 0.0835 0.3572
0.9976 0.2843 0.9971
```

The 12 most intense peaks (2θ from 15° to 90°), sorted by position:
2theta, intensity
18.0, 100
35.1, 12
35.2, 23
42.4, 24
42.6, 24
42.9, 23
56.6, 5
61.1, 6
61.8, 6
61.9, 12
62.1, 13
78.5, 6


Record 7
Diffraction record for Li2TiVO4. The powder diffraction line list is calculated, not measured: it uses a DFT-relaxed cell (GGA+U, the Materials Project) and Cu Ka.

```
Li2TiVO4
1.0
5.1987 -2.9744 0.0000
5.1987 2.9744 0.0000
-3.3777 0.0000 9.8021
Li Ti V O
8 4 4 16
direct
0.0000 0.0000 0.0000
0.9999 0.5015 0.4987
0.2502 0.2502 0.2501
0.4998 0.4998 0.4986
0.5008 0.9978 0.0006
0.5015 0.9999 0.4987
0.7512 0.7512 0.7505
0.9978 0.5008 0.0006
0.2471 0.7494 0.2519
0.2512 0.7534 0.7470
0.7494 0.2471 0.2519
0.7534 0.2512 0.7470
0.0036 0.0036 0.5037
0.2520 0.2520 0.7517
0.4977 0.4977 0.9990
0.7469 0.7469 0.2470
0.1163 0.1163 0.8655
0.1174 0.1174 0.3657
0.1286 0.6367 0.3675
0.1436 0.6297 0.8720
0.3695 0.8544 0.1261
0.3713 0.8700 0.6343
0.3836 0.3836 0.1321
0.3851 0.3851 0.6334
0.6153 0.6153 0.3660
0.6150 0.6150 0.8684
0.6297 0.1436 0.8720
0.6367 0.1286 0.3675
0.8544 0.3695 0.1261
0.8700 0.3713 0.6343
0.8834 0.8834 0.1337
0.8837 0.8837 0.6347
```

The 12 most intense peaks (2θ from 15° to 90°), sorted by position:
2theta, intensity
18.1, 58
18.2, 49
35.0, 8
35.1, 11
35.3, 26
37.0, 6
42.7, 100
61.5, 9
62.0, 18
62.1, 18
62.4, 9
78.7, 8


Please write out number 3 again, unchanged.
Diffraction record for Li4Ti2V3O10. The powder diffraction line list is calculated, not measured: it uses a DFT-relaxed cell (GGA+U, the Materials Project) and Cu Ka.

```
Li4Ti2V3O10
1.0
6.7263 0.0000 0.0000
-0.1201 7.8442 0.0000
-3.2988 -0.8778 7.1775
Li Ti V O
8 4 6 20
direct
0.0957 0.2036 0.2784
0.1887 0.9059 0.0938
0.2499 0.2562 0.9901
0.3208 0.5855 0.9043
0.6792 0.4145 0.0957
0.7501 0.7438 0.0099
0.8113 0.0941 0.9062
0.9043 0.7964 0.7216
0.1657 0.5589 0.1872
0.3484 0.9604 0.8093
0.6516 0.0396 0.1907
0.8343 0.4411 0.8128
0.0000 0.5000 0.5000
0.0289 0.8480 0.4001
0.4604 0.6443 0.5966
0.5000 0.0000 0.5000
0.5396 0.3557 0.4034
0.9711 0.1520 0.5999
0.0274 0.6592 0.9621
0.0929 0.0205 0.8397
0.0925 0.3875 0.7384
0.1854 0.7235 0.6463
0.2346 0.0590 0.5594
0.2598 0.4345 0.4264
0.3050 0.7787 0.3521
0.3979 0.1174 0.2643
0.4047 0.4714 0.1558
0.4712 0.8463 0.0328
0.5288 0.1537 0.9672
0.5953 0.5286 0.8442
0.6021 0.8826 0.7357
0.6950 0.2213 0.6479
0.7402 0.5655 0.5736
0.7654 0.9410 0.4406
0.8146 0.2765 0.3537
0.9075 0.6125 0.2616
0.9071 0.9795 0.1603
0.9726 0.3408 0.0379
```

The 12 most intense peaks (2θ from 15° to 90°), sorted by position:
2theta, intensity
17.9, 39
18.2, 100
22.8, 29
26.6, 39
41.8, 75
42.5, 69
43.9, 67
60.7, 20
61.7, 17
62.2, 18
62.3, 36
63.2, 17